# AlTl
Simulated powder X-ray diffraction pattern, Cu Kα X-rays. Input: the PBE geometry in Alexandria.
No peak broadening, texture or thermal motion is included.

abc: 3.307 3.307 8.965
angles: 90.00 90.10 90.00
Sites, in units of the cell vectors:
Al: 0.250 0.250 0.086
Al: 0.750 0.750 0.914
Tl: 0.248 0.250 0.664
Tl: 0.752 0.750 0.336

The 10 most intense peaks (10° ≤ 2θ ≤ 90°), by angle:
2θ/deg, Rel. int., index
28.78, 92, 1 0 -1
29.90, 33, 0 0 3
33.68, 100, 1 0 2
38.50, 45, 1 1 0
49.10, 18, 1 0 -4
49.50, 34, 1 1 -3
55.58, 16, 2 0 0
58.56, 19, 1 0 5
63.79, 20, 2 1 -1
66.59, 28, 2 1 2